[1]
Starting from a cell relaxed with GGA-PBE, the X-ray powder pattern of Ce3Pm2Ir4 was computed for Cu Ka.
Lines closer than 0.1° are merged.

Structure:
```
data_Ce3Pm2Ir4
_space_group_name_H-M_alt 'C m c e'
_space_group_IT_number 64
_space_group_name_Hall '-C 2ac 2'
_cell_length_a 7.2900
_cell_length_b 15.6197
_cell_length_c 7.6846
_cell_angle_alpha 90.00
_cell_angle_beta 90.00
_cell_angle_gamma 90.00
loop_
_atom_site_label
_atom_site_type_symbol
_atom_site_fract_x
_atom_site_fract_y
_atom_site_fract_z
Ce1 Ce 0.0000 0.0000 0.0000
Ce2 Ce 0.2500 0.2094 0.2500
Pm1 Pm 0.0000 0.1022 0.5921
Ir1 Ir 0.0000 0.2056 0.9545
Ir2 Ir 0.2500 0.0325 0.2500
```

Largest 8 diffraction maxima, sorted by position, 10 to 90 degrees two-theta:
h k l  2θ/deg  intensity
2 2 1  29.4  47.1
1 5 1  33.3  76.0
2 0 2  33.9  100.0
0 2 3  36.9  26.8
2 4 2  41.2  26.7
2 6 1  44.4  25.3
3 5 1  48.9  26.0
4 0 0  50.0  35.7

=====

[2]
Starting from a cell relaxed with GGA-PBE, the X-ray powder pattern of Na3ScBr6 was computed for Cu Ka.
Lines closer than 0.1° are merged.

Structure:
```
data_Na3ScBr6
_space_group_name_H-M_alt 'P -3 1 c'
_space_group_IT_number 163
_space_group_name_Hall '-P 3 2c'
_cell_length_a 7.3764
_cell_length_b 7.3764
_cell_length_c 13.2618
_cell_angle_alpha 90.00
_cell_angle_beta 90.00
_cell_angle_gamma 120.00
loop_
_atom_site_label
_atom_site_type_symbol
_atom_site_fract_x
_atom_site_fract_y
_atom_site_fract_z
Na1 Na 0.0000 0.0000 0.2500
Na2 Na 0.3333 0.6667 0.0357
Sc1 Sc 0.3333 0.6667 0.7500
Br1 Br 0.0467 0.3675 0.6308
```

Largest 8 diffraction maxima, sorted by position, 10 to 90 degrees two-theta:
h k l  2θ/deg  intensity
1 0 1  15.4  19.1
0 0 4  26.9  17.0
1 1 2  27.7  100.0
1 1 4  36.4  32.7
3 0 0  42.5  25.4
2 1 3  42.7  11.0
2 -1 6  48.0  21.8
4 -2 2  51.4  10.3

=====

[3]
Starting from a cell relaxed with GGA-PBE, the X-ray powder pattern of Ba3NaP4 was computed for Cu Ka.
Lines closer than 0.1° are merged.

Structure:
```
data_Ba3NaP4
_space_group_name_H-M_alt 'I m m m'
_space_group_IT_number 71
_space_group_name_Hall '-I 2 2'
_cell_length_a 4.7442
_cell_length_b 6.1650
_cell_length_c 17.1443
_cell_angle_alpha 90.00
_cell_angle_beta 90.00
_cell_angle_gamma 90.00
loop_
_atom_site_label
_atom_site_type_symbol
_atom_site_fract_x
_atom_site_fract_y
_atom_site_fract_z
Ba1 Ba 0.0000 0.0000 0.0000
Ba2 Ba 0.0000 0.5000 0.1944
Na1 Na 0.0000 0.0000 0.5000
P1 P 0.0000 0.3221 0.3749
```

Largest 8 diffraction maxima, sorted by position, 10 to 90 degrees two-theta:
h k l  2θ/deg  intensity
0 1 3  21.2  54.6
1 1 2  25.9  100.0
0 2 0  29.0  17.1
1 0 5  32.2  45.5
1 2 1  35.1  22.0
2 0 0  37.9  20.6
1 2 5  43.9  35.0
1 1 8  48.9  21.4